For MgPa2Rh4, the GGA-PBE geometry in Alexandria gives the simulated powder X-ray diffraction pattern in this record (CuKα).
Intensities are scaled so that the largest is 1000.

Most intense lines, 2θ = 10–90°, sorted by position:
- (0 1 0), 18.81 deg, I = 1000
- (1 0 0), 19.36 deg, I = 755
- (1 0 -1), 26.48 deg, I = 419
- (1 1 -1), 28.93 deg, I = 497
- (0 1 -2), 34.05 deg, I = 610
- (-1 1 1), 36.09 deg, I = 777
- (2 1 1), 37.51 deg, I = 466
- (0 2 0), 38.13 deg, I = 590
- (2 0 1), 38.64 deg, I = 499
- (1 -1 2), 39.10 deg, I = 636

Atomic structure:
```
data_MgPa2Rh4
_chemical_formula_sum 'Mg1 Pa2 Rh4'
_space_group_name_H-M_alt 'P -1'
_space_group_IT_number 2
_space_group_name_Hall '-P 1'
_cell_length_a 4.9449
_cell_length_b 4.9563
_cell_length_c 6.5040
_cell_angle_alpha 86.18
_cell_angle_beta 76.39
_cell_angle_gamma 72.11
loop_
_atom_site_label
_atom_site_fract_x
_atom_site_fract_y
_atom_site_fract_z
_atom_site_occupancy
Mg1 0.0000 0.0000 0.0000 1
Pa1 0.3496 0.4583 0.2780 1
Rh1 0.0000 0.5000 0.0000 1
Rh2 0.3252 0.2253 0.6276 1
Rh3 0.5000 0.0000 0.0000 1
```

For NpTl2AuO8, the GGA-PBE geometry in Alexandria gives the simulated powder X-ray diffraction pattern in this record (CuKα).
Intensities are scaled so that the largest is 1000.

Most intense lines, 2θ = 10–90°, sorted by position:
- (1 1 0), 23.77 deg, I = 1000
- (1 -1 0), 26.00 deg, I = 881
- (0 1 2), 29.83 deg, I = 563
- (1 0 2), 30.04 deg, I = 598
- (0 1 -2), 32.23 deg, I = 365
- (1 0 -2), 32.58 deg, I = 396
- (0 2 0), 35.01 deg, I = 307
- (2 0 0), 36.02 deg, I = 233
- (2 -1 2), 48.61 deg, I = 318
- (1 -2 2), 49.65 deg, I = 267

Atomic structure:
```
data_NpTl2AuO8
_chemical_formula_sum 'Np1 Tl2 Au1 O8'
_space_group_name_H-M_alt 'P -1'
_space_group_IT_number 2
_space_group_name_Hall '-P 1'
_cell_length_a 5.0279
_cell_length_b 5.1667
_cell_length_c 7.0160
_cell_angle_alpha 84.90
_cell_angle_beta 84.71
_cell_angle_gamma 84.51
loop_
_atom_site_label
_atom_site_fract_x
_atom_site_fract_y
_atom_site_fract_z
_atom_site_occupancy
Np1 0.0000 0.0000 0.0000 1
Tl1 0.4567 0.4622 0.2625 1
Au1 0.0000 0.0000 0.5000 1
O1 0.1822 0.1327 0.2475 1
O2 0.2316 0.1822 0.8298 1
O3 0.2570 0.6680 0.5117 1
O4 0.2767 0.6785 0.9992 1
```

For Ni7Mo, the GGA-PBE geometry in Alexandria gives the simulated powder X-ray diffraction pattern in this record (CuKα).
Intensities are scaled so that the largest is 1000.

Most intense lines, 2θ = 10–90°, sorted by position:
- (1 0 0), 20.24 deg, I = 18
- (1 0 1), 29.79 deg, I = 21
- (2 0 0), 41.15 deg, I = 251
- (1 1 1), 41.90 deg, I = 6
- (0 0 2), 44.08 deg, I = 270
- (2 0 1), 46.95 deg, I = 1000
- (2 0 2), 61.87 deg, I = 139
- (2 2 0), 74.98 deg, I = 150
- (2 0 3), 83.14 deg, I = 170
- (4 0 0), 89.31 deg, I = 24

Atomic structure:
```
data_Ni7Mo
_chemical_formula_sum 'Ni7 Mo1'
_space_group_name_H-M_alt 'P -6 m 2'
_space_group_IT_number 187
_space_group_name_Hall 'P -6 2'
_cell_length_a 5.0664
_cell_length_b 5.0664
_cell_length_c 4.1090
_cell_angle_alpha 90.00
_cell_angle_beta 90.00
_cell_angle_gamma 120.00
loop_
_atom_site_label
_atom_site_fract_x
_atom_site_fract_y
_atom_site_fract_z
_atom_site_occupancy
Ni1 0.0000 0.0000 0.0000 1
Ni2 0.3314 0.1657 0.5000 1
Ni3 0.5024 0.0048 0.0000 1
Mo1 0.3333 0.6667 0.5000 1
```

For NaReO3, the GGA-PBE geometry in Alexandria gives the simulated powder X-ray diffraction pattern in this record (CuKα).
Intensities are scaled so that the largest is 1000.

Most intense lines, 2θ = 10–90°, sorted by position:
- (0 0 1), 22.91 deg, I = 1000
- (2 0 0), 32.63 deg, I = 969
- (2 0 1), 40.25 deg, I = 128
- (0 0 2), 46.81 deg, I = 309
- (3 1 0), 52.74 deg, I = 421
- (3 1 1), 58.23 deg, I = 392
- (2 2 2), 68.36 deg, I = 184
- (3 1 2), 73.15 deg, I = 199
- (4 2 0), 77.82 deg, I = 167
- (4 2 1), 82.41 deg, I = 70

Atomic structure:
```
data_NaReO3
_chemical_formula_sum 'Na2 Re2 O6'
_space_group_name_H-M_alt 'P 4/m b m'
_space_group_IT_number 127
_space_group_name_Hall '-P 4 2ab'
_cell_length_a 5.4871
_cell_length_b 5.4871
_cell_length_c 3.8836
_cell_angle_alpha 90.00
_cell_angle_beta 90.00
_cell_angle_gamma 90.00
loop_
_atom_site_label
_atom_site_fract_x
_atom_site_fract_y
_atom_site_fract_z
_atom_site_occupancy
Na1 0.0000 0.5000 0.0000 1
Re1 0.0000 0.0000 0.5000 1
O1 0.0000 0.0000 0.0000 1
O2 0.2275 0.2725 0.5000 1
```

For Li3Ac2ZnNi12, the GGA-PBE geometry in Alexandria gives the simulated powder X-ray diffraction pattern in this record (CuKα).
Intensities are scaled so that the largest is 1000.

Most intense lines, 2θ = 10–90°, sorted by position:
- (1 0 1), 17.32 deg, I = 874
- (1 1 3), 31.34 deg, I = 844
- (1 1 6), 35.93 deg, I = 330
- (0 2 4), 36.98 deg, I = 1000
- (1 0 10), 37.63 deg, I = 313
- (0 1 11), 40.76 deg, I = 681
- (2 0 8), 43.95 deg, I = 504
- (2 1 7), 52.16 deg, I = 508
- (0 3 3), 53.72 deg, I = 391
- (1 2 14), 68.17 deg, I = 284

Atomic structure:
```
data_Li3Ac2ZnNi12
_chemical_formula_sum 'Li9 Ac6 Zn3 Ni36'
_space_group_name_H-M_alt 'R -3 m'
_space_group_IT_number 166
_space_group_name_Hall '-R 3 2"'
_cell_length_a 6.0208
_cell_length_b 6.0208
_cell_length_c 26.8959
_cell_angle_alpha 90.00
_cell_angle_beta 90.00
_cell_angle_gamma 120.00
loop_
_atom_site_label
_atom_site_fract_x
_atom_site_fract_y
_atom_site_fract_z
_atom_site_occupancy
Li1 0.0000 0.5000 0.0000 1
Ac1 0.0000 0.0000 0.1376 1
Zn1 0.0000 0.0000 0.5000 1
Ni1 0.0535 0.5267 0.9022 1
Ni2 0.0758 0.5379 0.6244 1
```

For NpBiSb2, the GGA-PBE geometry in Alexandria gives the simulated powder X-ray diffraction pattern in this record (CuKα).
Intensities are scaled so that the largest is 1000.

Most intense lines, 2θ = 10–90°, sorted by position:
- (1 1 0), 25.07 deg, I = 76
- (1 1 1), 32.51 deg, I = 1000
- (2 0 0), 35.75 deg, I = 389
- (0 0 2), 41.44 deg, I = 174
- (2 2 0), 51.45 deg, I = 139
- (2 0 2), 55.85 deg, I = 238
- (3 1 1), 62.19 deg, I = 317
- (2 2 2), 68.10 deg, I = 121
- (1 1 3), 69.95 deg, I = 112
- (3 3 1), 84.85 deg, I = 69

Atomic structure:
```
data_NpBiSb2
_chemical_formula_sum 'Np1 Bi1 Sb2'
_space_group_name_H-M_alt 'P 4/m m m'
_space_group_IT_number 123
_space_group_name_Hall '-P 4 2'
_cell_length_a 5.0237
_cell_length_b 5.0237
_cell_length_c 4.3594
_cell_angle_alpha 90.00
_cell_angle_beta 90.00
_cell_angle_gamma 90.00
loop_
_atom_site_label
_atom_site_fract_x
_atom_site_fract_y
_atom_site_fract_z
_atom_site_occupancy
Np1 0.0000 0.0000 0.0000 1
Bi1 0.5000 0.5000 0.0000 1
Sb1 0.0000 0.5000 0.5000 1
```

For Sc2FeB2Ru2Rh3, the GGA-PBE geometry in Alexandria gives the simulated powder X-ray diffraction pattern in this record (CuKα).
Intensities are scaled so that the largest is 1000.

Most intense lines, 2θ = 10–90°, sorted by position:
- (0 0 1), 29.36 deg, I = 881
- (3 2 0), 34.63 deg, I = 633
- (1 2 1), 36.54 deg, I = 903
- (1 4 0), 39.67 deg, I = 733
- (4 1 0), 39.91 deg, I = 697
- (2 2 1), 40.31 deg, I = 600
- (1 3 1), 42.61 deg, I = 1000
- (3 1 1), 42.73 deg, I = 947
- (4 2 0), 43.41 deg, I = 436
- (3 2 1), 46.02 deg, I = 873

Atomic structure:
```
data_Sc2FeB2Ru2Rh3
_chemical_formula_sum 'Sc4 Fe2 B4 Ru4 Rh6'
_space_group_name_H-M_alt 'P b a m'
_space_group_IT_number 55
_space_group_name_Hall '-P 2 2ab'
_cell_length_a 9.3112
_cell_length_b 9.3708
_cell_length_c 3.0419
_cell_angle_alpha 90.00
_cell_angle_beta 90.00
_cell_angle_gamma 90.00
loop_
_atom_site_label
_atom_site_fract_x
_atom_site_fract_y
_atom_site_fract_z
_atom_site_occupancy
Sc1 0.1751 0.1774 0.0000 1
Fe1 0.0000 0.5000 0.0000 1
B1 0.1210 0.8695 0.0000 1
Ru1 0.0697 0.7139 0.5000 1
Rh1 0.0000 0.0000 0.5000 1
Rh2 0.2164 0.4304 0.5000 1
```

For Rb3In2Br8, the GGA-PBE geometry in Alexandria gives the simulated powder X-ray diffraction pattern in this record (CuKα).
Intensities are scaled so that the largest is 1000.

Most intense lines, 2θ = 10–90°, sorted by position:
- (1 0 4), 17.57 deg, I = 267
- (1 1 0), 22.12 deg, I = 1000
- (1 1 3), 23.94 deg, I = 263
- (2 0 2), 26.32 deg, I = 718
- (0 0 9), 27.38 deg, I = 313
- (0 2 4), 28.39 deg, I = 331
- (2 0 5), 29.85 deg, I = 706
- (1 0 10), 33.16 deg, I = 530
- (2 0 11), 42.74 deg, I = 402
- (2 2 0), 45.12 deg, I = 696

Atomic structure:
```
data_Rb3In2Br8
_chemical_formula_sum 'Rb9 In6 Br24'
_space_group_name_H-M_alt 'R -3 m'
_space_group_IT_number 166
_space_group_name_Hall '-R 3 2"'
_cell_length_a 8.0385
_cell_length_b 8.0385
_cell_length_c 29.3120
_cell_angle_alpha 90.00
_cell_angle_beta 90.00
_cell_angle_gamma 120.00
loop_
_atom_site_label
_atom_site_fract_x
_atom_site_fract_y
_atom_site_fract_z
_atom_site_occupancy
Rb1 0.0000 0.0000 0.0000 1
Rb2 0.0000 0.0000 0.2044 1
In1 0.0000 0.0000 0.4092 1
Br1 0.0000 0.0000 0.3195 1
Br2 0.0294 0.5147 0.7694 1
```

For AcMg4Sn4, the GGA-PBE geometry in Alexandria gives the simulated powder X-ray diffraction pattern in this record (CuKα).
Intensities are scaled so that the largest is 1000.

Most intense lines, 2θ = 10–90°, sorted by position:
- (1 0 1), 15.35 deg, I = 264
- (1 1 2), 25.69 deg, I = 512
- (2 0 1), 26.03 deg, I = 738
- (2 1 1), 28.76 deg, I = 1000
- (1 0 3), 31.31 deg, I = 511
- (2 0 3), 37.95 deg, I = 268
- (3 1 0), 38.68 deg, I = 240
- (2 2 2), 39.68 deg, I = 535
- (3 0 3), 47.23 deg, I = 351
- (2 1 5), 56.83 deg, I = 356

Atomic structure:
```
data_AcMg4Sn4
_chemical_formula_sum 'Ac2 Mg8 Sn8'
_space_group_name_H-M_alt 'P 42/n m c'
_space_group_IT_number 137
_cell_length_a 7.3640
_cell_length_b 7.3640
_cell_length_c 9.2984
_cell_angle_alpha 90.00
_cell_angle_beta 90.00
_cell_angle_gamma 90.00
loop_
_space_group_symop_operation_xyz
'x,y,z'
'-x,-y,-z'
'-y+1/2,x,z+1/2'
'y+1/2,-x,-z+1/2'
'-x+1/2,-y+1/2,z'
'x+1/2,y+1/2,-z'
'y,-x+1/2,z+1/2'
'-y,x+1/2,-z+1/2'
'x+1/2,-y,-z'
'-x+1/2,y,z'
'-y,-x,-z+1/2'
'y,x,z+1/2'
'-x,y+1/2,-z'
'x,-y+1/2,z'
'y+1/2,x+1/2,-z+1/2'
'-y+1/2,-x+1/2,z+1/2'
loop_
_atom_site_label
_atom_site_fract_x
_atom_site_fract_y
_atom_site_fract_z
_atom_site_occupancy
Ac1 0.2500 0.7500 0.2500 1
Mg1 0.0133 0.2500 0.1438 1
Sn1 0.0363 0.2500 0.4499 1
```

For Nd2Ho5Tl, the GGA-PBE geometry in Alexandria gives the simulated powder X-ray diffraction pattern in this record (CuKα).
Intensities are scaled so that the largest is 1000.

Most intense lines, 2θ = 10–90°, sorted by position:
- (0 0 2), 28.96 deg, I = 478
- (4 0 -2), 31.77 deg, I = 481
- (2 2 0), 33.05 deg, I = 1000
- (2 2 -2), 33.19 deg, I = 992
- (4 0 0), 43.41 deg, I = 152
- (0 4 0), 51.32 deg, I = 384
- (6 2 -2), 57.33 deg, I = 190
- (4 4 -2), 61.61 deg, I = 143
- (2 0 3), 62.37 deg, I = 156
- (2 6 0), 84.90 deg, I = 175

Atomic structure:
```
data_Nd2Ho5Tl
_chemical_formula_sum 'Nd4 Ho10 Tl2'
_space_group_name_H-M_alt 'C 1 m 1'
_space_group_IT_number 8
_space_group_name_Hall 'C -2y'
_cell_length_a 11.2654
_cell_length_b 7.1253
_cell_length_c 8.3186
_cell_angle_alpha 90.00
_cell_angle_beta 132.19
_cell_angle_gamma 90.00
loop_
_atom_site_label
_atom_site_fract_x
_atom_site_fract_y
_atom_site_fract_z
_atom_site_occupancy
Nd1 0.0000 0.0000 0.0000 1
Nd2 0.1124 0.0000 0.6869 1
Ho1 0.0368 0.5000 0.0011 1
Ho2 0.2728 0.2505 0.5088 1
Ho3 0.3558 0.2381 0.1722 1
Tl1 0.0915 0.5000 0.6499 1
```

For Sm3Dy2ErS6, the GGA-PBE geometry in Alexandria gives the simulated powder X-ray diffraction pattern in this record (CuKα).
Intensities are scaled so that the largest is 1000.

Most intense lines, 2θ = 10–90°, sorted by position:
- (0 0 2), 27.48 deg, I = 205
- (2 0 0), 27.72 deg, I = 598
- (1 3 1), 32.05 deg, I = 1000
- (2 0 2), 45.80 deg, I = 363
- (0 6 0), 46.02 deg, I = 120
- (3 3 -1), 46.15 deg, I = 238
- (0 6 2), 54.48 deg, I = 132
- (3 3 1), 54.59 deg, I = 131
- (2 6 -2), 57.19 deg, I = 125
- (2 6 2), 67.01 deg, I = 115

Atomic structure:
```
data_Sm3Dy2ErS6
_chemical_formula_sum 'Sm6 Dy4 Er2 S12'
_space_group_name_H-M_alt 'C 1 2/m 1'
_space_group_IT_number 12
_space_group_name_Hall '-C 2y'
_cell_length_a 6.8076
_cell_length_b 11.8343
_cell_length_c 6.8780
_cell_angle_alpha 90.00
_cell_angle_beta 109.32
_cell_angle_gamma 90.00
loop_
_atom_site_label
_atom_site_fract_x
_atom_site_fract_y
_atom_site_fract_z
_atom_site_occupancy
Sm1 0.0000 0.0000 0.0000 1
Sm2 0.0000 0.3321 0.0000 1
Dy1 0.0000 0.1668 0.5000 1
Er1 0.0000 0.5000 0.5000 1
S1 0.2448 0.3346 0.7384 1
S2 0.2489 0.0000 0.7394 1
```

For Ba4CaHg, the GGA-PBE geometry in Alexandria gives the simulated powder X-ray diffraction pattern in this record (CuKα).
Intensities are scaled so that the largest is 1000.

Most intense lines, 2θ = 10–90°, sorted by position:
- (0 0 3), 15.94 deg, I = 112
- (1 0 3), 26.20 deg, I = 1000
- (1 1 0), 29.39 deg, I = 494
- (1 0 4), 29.86 deg, I = 244
- (1 0 6), 38.57 deg, I = 181
- (2 0 0), 42.04 deg, I = 186
- (1 1 6), 44.15 deg, I = 107
- (2 1 3), 50.22 deg, I = 334
- (1 1 9), 58.34 deg, I = 210
- (3 1 9), 89.40 deg, I = 103

Atomic structure:
```
data_Ba4CaHg
_chemical_formula_sum 'Ba4 Ca1 Hg1'
_space_group_name_H-M_alt 'P 4/m m m'
_space_group_IT_number 123
_space_group_name_Hall '-P 4 2'
_cell_length_a 4.2983
_cell_length_b 4.2983
_cell_length_c 16.6818
_cell_angle_alpha 90.00
_cell_angle_beta 90.00
_cell_angle_gamma 90.00
loop_
_atom_site_label
_atom_site_fract_x
_atom_site_fract_y
_atom_site_fract_z
_atom_site_occupancy
Ba1 0.0000 0.0000 0.1191 1
Ba2 0.5000 0.5000 0.3278 1
Ca1 0.0000 0.0000 0.5000 1
Hg1 0.5000 0.5000 0.0000 1
```

For PrHo4Pd5, the GGA-PBE geometry in Alexandria gives the simulated powder X-ray diffraction pattern in this record (CuKα).
Intensities are scaled so that the largest is 1000.

Most intense lines, 2θ = 10–90°, sorted by position:
- (1 0 5), 35.86 deg, I = 1000
- (1 1 0), 36.49 deg, I = 499
- (0 0 10), 50.67 deg, I = 81
- (2 0 0), 52.57 deg, I = 175
- (1 1 10), 64.04 deg, I = 159
- (2 1 5), 65.28 deg, I = 345
- (2 0 10), 76.02 deg, I = 97
- (1 0 15), 85.53 deg, I = 58
- (3 0 5), 88.51 deg, I = 78
- (3 1 0), 88.88 deg, I = 81

Atomic structure:
```
data_PrHo4Pd5
_chemical_formula_sum 'Pr1 Ho4 Pd5'
_space_group_name_H-M_alt 'P 4/m m m'
_space_group_IT_number 123
_space_group_name_Hall '-P 4 2'
_cell_length_a 3.4819
_cell_length_b 3.4819
_cell_length_c 18.0164
_cell_angle_alpha 90.00
_cell_angle_beta 90.00
_cell_angle_gamma 90.00
loop_
_atom_site_label
_atom_site_fract_x
_atom_site_fract_y
_atom_site_fract_z
_atom_site_occupancy
Pr1 0.0000 0.0000 0.0000 1
Ho1 0.0000 0.0000 0.2059 1
Ho2 0.0000 0.0000 0.4022 1
Pd1 0.5000 0.5000 0.1146 1
Pd2 0.5000 0.5000 0.3044 1
Pd3 0.5000 0.5000 0.5000 1
```